No. 1
Starting from a structure optimized by DFT (PBE), the XRD peak list of Pu3Ni8Pt was calculated for copper Kα.
Kinematic intensities with the Lorentz-polarization factor, no thermal factor.

Cell and atoms:
a = 4.9591 Å, b = 4.9591 Å, c = 24.4370 Å
α = 90.00°, β = 90.00°, γ = 120.00°
Space group R3m (No. 160, hexagonal axes)
Symmetry-distinct sites (fractional):
Pu: 0.0000 0.0000 0.0000 [3 per cell]
Pu: 0.0000 0.0000 0.1283 [3 per cell]
Pu: 0.0000 0.0000 0.5087 [3 per cell]
Ni: 0.0000 0.0000 0.3163 [3 per cell]
Ni: 0.0000 0.0000 0.8165 [3 per cell]
Ni: 0.1669 0.3338 0.9008 [9 per cell]
Ni: 0.1677 0.3354 0.3985 [9 per cell]
Pt: 0.0000 0.0000 0.6308 [3 per cell]

Largest 6 diffraction maxima, in order of rising 2θ, 2θ = 15–90°:
| 2θ/deg | d (Å) | Rel. int. | (hkl) |
| --- | --- | --- | --- |
| 21.94 | 4.052 | 31 | 0 1 2 |
| 36.08 | 2.489 | 52 | 0 1 8 |
| 36.23 | 2.480 | 53 | 1 1 0 |
| 42.57 | 2.124 | 33 | 1 0 10 |
| 42.71 | 2.117 | 100 | 2 0 2 |
| 69.57 | 1.351 | 31 | 3 0 6 |

No. 2
Starting from a structure optimized by DFT (PBE), the XRD peak list of YPuNiPt was calculated for copper Kα.
Kinematic intensities with the Lorentz-polarization factor, no thermal factor.

Cell and atoms:
a = 6.919 Å, b = 6.919 Å, c = 6.919 Å
α = 90.00°, β = 90.00°, γ = 90.00°
Space group F-43m (No. 216)
Symmetry-distinct sites (fractional):
Y: 0.000 0.000 0.000 [4 per cell]
Pu: 0.000 0.000 0.500 [4 per cell]
Ni: 0.250 0.250 0.750 [4 per cell]
Pt: 0.250 0.250 0.250 [4 per cell]

Largest 6 diffraction maxima, in order of rising 2θ, 2θ = 15–90°:
| 2θ/deg | d (Å) | Rel. int. | (hkl) |
| --- | --- | --- | --- |
| 22.25 | 3.995 | 25 | 1 1 1 |
| 36.74 | 2.446 | 100 | 2 2 0 |
| 43.38 | 2.086 | 14 | 3 1 1 |
| 52.94 | 1.730 | 18 | 4 0 0 |
| 66.17 | 1.412 | 36 | 4 2 2 |
| 89.61 | 1.094 | 17 | 6 2 0 |

No. 3
Starting from a structure optimized by DFT (PBE), the XRD peak list of Re2NiPt was calculated for copper Kα.
Kinematic intensities with the Lorentz-polarization factor, no thermal factor.

Cell and atoms:
a = 2.681 Å, b = 3.895 Å, c = 5.437 Å
α = 90.00°, β = 90.00°, γ = 90.00°
Space group Pmm2 (No. 25)
Symmetry-distinct sites (fractional):
Re: 0.000 0.000 0.000 [1 per cell]
Re: 0.500 0.500 0.247 [1 per cell]
Ni: 0.000 0.000 0.485 [1 per cell]
Pt: 0.500 0.500 0.731 [1 per cell]

Largest 6 diffraction maxima, in order of rising 2θ, 2θ = 15–90°:
| 2θ/deg | d (Å) | Rel. int. | (hkl) |
| --- | --- | --- | --- |
| 40.47 | 2.229 | 100 | 0 1 2 |
| 40.86 | 2.208 | 98 | 1 1 0 |
| 46.64 | 1.947 | 34 | 0 2 0 |
| 47.64 | 1.909 | 63 | 1 0 2 |
| 68.88 | 1.363 | 42 | 1 2 2 |
| 84.29 | 1.149 | 25 | 2 1 2 |

No. 4
Starting from a structure optimized by DFT (PBE), the XRD peak list of Re2NiPt was calculated for copper Kα.
Kinematic intensities with the Lorentz-polarization factor, no thermal factor.

Cell and atoms:
a = 9.012 Å, b = 2.664 Å, c = 4.798 Å
α = 90.00°, β = 98.78°, γ = 90.00°
Space group Cm (No. 8)
Symmetry-distinct sites (fractional):
Re: 0.000 0.000 0.000 [2 per cell]
Re: 0.244 0.000 0.758 [2 per cell]
Ni: 0.001 0.500 0.514 [2 per cell]
Pt: 0.246 0.500 0.270 [2 per cell]

Largest 6 diffraction maxima, in order of rising 2θ, 2θ = 15–90°:
| 2θ/deg | d (Å) | Rel. int. | (hkl) |
| --- | --- | --- | --- |
| 40.27 | 2.239 | 52 | 2 0 -2 |
| 40.51 | 2.227 | 51 | 4 0 0 |
| 40.88 | 2.208 | 100 | 1 1 1 |
| 46.03 | 1.972 | 35 | 2 0 2 |
| 47.89 | 1.900 | 63 | 3 1 -1 |
| 68.77 | 1.365 | 21 | 5 1 1 |

No. 5
Starting from a structure optimized by DFT (PBE), the XRD peak list of ReNi3Pt6 was calculated for copper Kα.
Kinematic intensities with the Lorentz-polarization factor, no thermal factor.

Cell and atoms:
a = 8.514 Å, b = 3.869 Å, c = 8.679 Å
α = 90.00°, β = 91.37°, γ = 90.00°
Space group P2_1/m (No. 11)
Symmetry-distinct sites (fractional):
Re: 0.046 0.250 0.410 [2 per cell]
Ni: 0.257 0.250 0.997 [2 per cell]
Ni: 0.353 0.750 0.806 [2 per cell]
Ni: 0.452 0.250 0.605 [2 per cell]
Pt: 0.054 0.750 0.899 [2 per cell]
Pt: 0.155 0.750 0.200 [2 per cell]
Pt: 0.157 0.250 0.704 [2 per cell]
Pt: 0.259 0.750 0.508 [2 per cell]
Pt: 0.359 0.250 0.307 [2 per cell]
Pt: 0.455 0.750 0.101 [2 per cell]

Largest 6 diffraction maxima, in order of rising 2θ, 2θ = 15–90°:
| 2θ/deg | d (Å) | Rel. int. | (hkl) |
| --- | --- | --- | --- |
| 40.57 | 2.224 | 100 | 3 1 -1 |
| 46.54 | 1.952 | 17 | 2 0 -4 |
| 46.97 | 1.934 | 17 | 0 2 0 |
| 48.08 | 1.893 | 15 | 4 0 2 |
| 82.22 | 1.173 | 13 | 5 1 -5 |
| 82.86 | 1.165 | 13 | 3 3 -1 |

No. 6
Starting from a structure optimized by DFT (PBE), the XRD peak list of ReNi4Pt2 was calculated for copper Kα.
Kinematic intensities with the Lorentz-polarization factor, no thermal factor.

Cell and atoms:
a = 2.659 Å, b = 17.048 Å, c = 8.223 Å
α = 90.00°, β = 90.00°, γ = 90.00°
Space group Cmcm (No. 63)
Symmetry-distinct sites (fractional):
Re: 0.000 0.127 0.250 [4 per cell]
Ni: 0.000 0.000 0.000 [4 per cell]
Ni: 0.000 0.254 0.617 [8 per cell]
Ni: 0.000 0.497 0.250 [4 per cell]
Pt: 0.000 0.375 0.058 [8 per cell]

Largest 6 diffraction maxima, in order of rising 2θ, 2θ = 15–90°:
| 2θ/deg | d (Å) | Rel. int. | (hkl) |
| --- | --- | --- | --- |
| 20.84 | 4.262 | 58 | 0 4 0 |
| 34.37 | 2.609 | 100 | 0 2 3 |
| 38.96 | 2.311 | 52 | 1 3 1 |
| 42.42 | 2.131 | 71 | 0 8 0 |
| 43.55 | 2.078 | 84 | 1 3 2 |
| 48.75 | 1.868 | 57 | 1 5 2 |

No. 7
Starting from a structure optimized by DFT (PBE), the XRD peak list of ReNi2Pt5 was calculated for copper Kα.
Kinematic intensities with the Lorentz-polarization factor, no thermal factor.

Cell and atoms:
a = 6.553 Å, b = 6.553 Å, c = 11.002 Å
α = 90.00°, β = 90.00°, γ = 90.00°
Space group I4/mcm (No. 140)
Symmetry-distinct sites (fractional):
Re: 0.000 0.000 0.250 [4 per cell]
Ni: 0.134 0.366 0.000 [8 per cell]
Pt: 0.000 0.000 0.000 [4 per cell]
Pt: 0.159 0.341 0.344 [16 per cell]

Largest 6 diffraction maxima, in order of rising 2θ, 2θ = 15–90°:
| 2θ/deg | d (Å) | Rel. int. | (hkl) |
| --- | --- | --- | --- |
| 31.59 | 2.832 | 21 | 2 1 1 |
| 38.05 | 2.365 | 28 | 1 1 4 |
| 38.87 | 2.317 | 15 | 2 2 0 |
| 39.36 | 2.289 | 100 | 2 1 3 |
| 42.93 | 2.107 | 30 | 2 0 4 |
| 43.68 | 2.072 | 61 | 3 1 0 |

No. 8
Starting from a structure optimized by DFT (PBE), the XRD peak list of Re2NiPt was calculated for copper Kα.
Kinematic intensities with the Lorentz-polarization factor, no thermal factor.

Cell and atoms:
a = 2.697 Å, b = 3.911 Å, c = 5.400 Å
α = 90.00°, β = 90.00°, γ = 90.00°
Space group Pmmm (No. 47)
Symmetry-distinct sites (fractional):
Re: 0.000 0.000 0.223 [2 per cell]
Ni: 0.500 0.500 0.000 [1 per cell]
Pt: 0.500 0.500 0.500 [1 per cell]

Largest 6 diffraction maxima, in order of rising 2θ, 2θ = 15–90°:
| 2θ/deg | d (Å) | Rel. int. | (hkl) |
| --- | --- | --- | --- |
| 40.62 | 2.221 | 100 | 1 1 0 |
| 46.44 | 1.956 | 18 | 0 2 0 |
| 47.66 | 1.908 | 31 | 1 0 2 |
| 68.74 | 1.366 | 21 | 1 2 2 |
| 82.10 | 1.174 | 13 | 1 3 0 |
| 83.92 | 1.153 | 22 | 2 1 2 |